Diffraction record for Ti4GaCu2. The powder diffraction line list is simulated, not measured: it uses a structure optimized by DFT (GGA-PBE) and a wavelength of 1.5418 Å.
Neutral-atom scattering factors, no anomalous dispersion.

Lattice parameters (Å, degrees): 6.971 6.971 6.971 140.97 140.97 56.38
Atoms (fractional coordinates):
Ti1 0.000 0.500 0.500
Ti2 0.200 0.200 0.000
Ti3 0.500 0.000 0.500
Ti4 0.800 0.800 0.000
Ga1 0.000 0.000 0.000
Cu1 0.396 0.396 0.000
Cu2 0.604 0.604 0.000

The 6 most intense peaks (2θ from 15° to 90°), low angle first:
2θ 27.1, intensity 66; 2θ 38.7, intensity 91; 2θ 41.5, intensity 100; 2θ 55.8, intensity 29; 2θ 58.0, intensity 64; 2θ 84.8, intensity 20